Diffraction record for Sm2OsC2. The powder X-ray diffraction pattern is simulated, not measured: it uses DFT lattice parameters and positions (GGA-PBE) and Cu Kα.
Neutral-atom scattering factors, no anomalous dispersion.

Structural model:
```
data_Sm2OsC2
_chemical_formula_sum 'Sm8 Os4 C8'
_symmetry_space_group_name_H-M 'P n m a'
_symmetry_Int_Tables_number 62
_symmetry_space_group_name_Hall '-P 2ac 2n'
_cell_length_a 6.517
_cell_length_b 5.299
_cell_length_c 10.029
_cell_angle_alpha 90.00
_cell_angle_beta 90.00
_cell_angle_gamma 90.00
loop_
_atom_site_label
_atom_site_type_symbol
_atom_site_fract_x
_atom_site_fract_y
_atom_site_fract_z
Sm1 Sm 0.021 0.250 0.220
Sm2 Sm 0.192 0.250 0.549
Os1 Os 0.232 0.250 0.861
C1 C 0.030 0.750 0.243
C2 C 0.182 0.750 0.545
```

Largest 10 diffraction maxima, most intense first, 2θ = 5–70°:
| d/Å | Rel. int. |
| --- | --- |
| 2.675 | 1000 |
| 2.649 | 682 |
| 2.827 | 642 |
| 2.594 | 619 |
| 2.732 | 250 |
| 1.535 | 190 |
| 1.753 | 178 |
| 2.776 | 173 |
| 1.902 | 169 |
| 1.382 | 154 |

=====

Diffraction record for Ca4SbSe2Br. The powder X-ray diffraction pattern is simulated, not measured: it uses DFT lattice parameters and positions (GGA-PBE) and Cu Kα.
Neutral-atom scattering factors, no anomalous dispersion.

Structural model:
```
data_Ca4SbSe2Br
_chemical_formula_sum 'Ca8 Sb2 Se4 Br2'
_symmetry_space_group_name_H-M 'I 4/m m m'
_symmetry_Int_Tables_number 139
_symmetry_space_group_name_Hall '-I 4 2'
_cell_length_a 6.111
_cell_length_b 6.111
_cell_length_c 12.355
_cell_angle_alpha 90.00
_cell_angle_beta 90.00
_cell_angle_gamma 90.00
loop_
_atom_site_label
_atom_site_type_symbol
_atom_site_fract_x
_atom_site_fract_y
_atom_site_fract_z
Ca1 Ca 0.000 0.000 0.244
Ca2 Ca 0.000 0.500 0.000
Sb1 Sb 0.000 0.000 0.000
Se1 Se 0.000 0.500 0.250
Br1 Br 0.000 0.000 0.500
```

Largest 10 diffraction maxima, most intense first, 2θ = 5–70°:
| d/Å | Rel. int. |
| --- | --- |
| 3.055 | 1000 |
| 2.172 | 738 |
| 3.089 | 513 |
| 1.770 | 382 |
| 3.541 | 373 |
| 2.161 | 364 |
| 1.378 | 160 |
| 1.369 | 158 |
| 1.366 | 157 |
| 1.844 | 127 |

=====

Diffraction record for SmI2. The powder X-ray diffraction pattern is simulated, not measured: it uses DFT lattice parameters and positions (GGA-PBE) and Cu Kα.
Neutral-atom scattering factors, no anomalous dispersion.

Structural model:
```
data_SmI2
_chemical_formula_sum 'Sm8 I16'
_symmetry_space_group_name_H-M 'C 2 2 21'
_symmetry_Int_Tables_number 20
_symmetry_space_group_name_Hall 'C 2c 2'
_cell_length_a 4.174
_cell_length_b 7.231
_cell_length_c 33.729
_cell_angle_alpha 90.00
_cell_angle_beta 90.00
_cell_angle_gamma 90.00
loop_
_atom_site_label
_atom_site_type_symbol
_atom_site_fract_x
_atom_site_fract_y
_atom_site_fract_z
Sm1 Sm 0.244 0.001 0.123
I1 I 0.244 0.333 0.815
I2 I 0.244 0.333 0.938
```

Largest 10 diffraction maxima, most intense first, 2θ = 5–70°:
| d/Å | Rel. int. |
| --- | --- |
| 8.432 | 1000 |
| 2.085 | 579 |
| 3.535 | 535 |
| 2.892 | 518 |
| 2.602 | 491 |
| 2.744 | 430 |
| 3.186 | 359 |
| 1.662 | 351 |
| 3.041 | 316 |
| 2.108 | 250 |

=====

Diffraction record for Nd3Dy6Th. The powder X-ray diffraction pattern is simulated, not measured: it uses DFT lattice parameters and positions (GGA-PBE) and Cu Kα.
Neutral-atom scattering factors, no anomalous dispersion.

Structural model:
```
data_Nd3Dy6Th
_chemical_formula_sum 'Nd6 Dy12 Th2'
_symmetry_space_group_name_H-M 'C 1 2/m 1'
_symmetry_Int_Tables_number 12
_symmetry_space_group_name_Hall '-C 2y'
_cell_length_a 11.496
_cell_length_b 6.617
_cell_length_c 9.610
_cell_angle_alpha 90.00
_cell_angle_beta 114.15
_cell_angle_gamma 90.00
loop_
_atom_site_label
_atom_site_type_symbol
_atom_site_fract_x
_atom_site_fract_y
_atom_site_fract_z
Nd1 Nd 0.000 0.000 0.000
Nd2 Nd 0.069 0.000 0.690
Dy1 Dy 0.135 0.500 0.918
Dy2 Dy 0.186 0.252 0.314
Th1 Th 0.000 0.500 0.500
```

Largest 10 diffraction maxima, most intense first, 2θ = 5–70°:
| d/Å | Rel. int. |
| --- | --- |
| 2.855 | 1000 |
| 2.798 | 315 |
| 3.135 | 209 |
| 1.658 | 209 |
| 1.430 | 179 |
| 2.641 | 176 |
| 2.814 | 172 |
| 2.840 | 169 |
| 2.657 | 167 |
| 2.632 | 158 |

=====

Q: Number 1 is which compound?
A: Sm2OsC2